Record 1
The following is a theoretical X-ray diffraction stick pattern of LaTb12Ni6. It was derived from a DFT-relaxed cell (GGA-PBE, Alexandria), using CuKα.

Largest 12 diffraction maxima, by angle, 2θ from 10° to 90°:
d 3.133, 28.49°, I 513; d 2.860, 31.28°, I 316; d 2.647, 33.86°, I 1000; d 2.476, 36.27°, I 104; d 1.943, 46.76°, I 240; d 1.699, 53.97°, I 328; d 1.651, 55.67°, I 160; d 1.607, 57.34°, I 329; d 1.401, 66.78°, I 154; d 1.184, 81.25°, I 138; d 1.167, 82.65°, I 175; d 1.152, 84.05°, I 162

Atomic structure:
```
data_LaTb12Ni6
_chemical_formula_sum 'La1 Tb12 Ni6'
_space_group_name_H-M_alt 'P 1'
_space_group_IT_number 1
_space_group_name_Hall 'P 1'
_cell_length_a 8.5788
_cell_length_b 8.5788
_cell_length_c 8.5788
_cell_angle_alpha 109.47
_cell_angle_beta 109.47
_cell_angle_gamma 109.47
loop_
_atom_site_label
_atom_site_fract_x
_atom_site_fract_y
_atom_site_fract_z
La1 0.0000 0.0000 0.0000
Tb1 0.1279 0.3125 0.8154
Tb2 0.1846 0.4971 0.3125
Tb3 0.1846 0.8721 0.6875
Tb4 0.3125 0.1846 0.4971
Tb5 0.3125 0.8154 0.1279
Tb6 0.4971 0.3125 0.1846
Tb7 0.5029 0.6875 0.8154
Tb8 0.6875 0.1846 0.8721
Tb9 0.6875 0.8154 0.5029
Tb10 0.8154 0.1279 0.3125
Tb11 0.8154 0.5029 0.6875
Tb12 0.8721 0.6875 0.1846
Ni1 0.1236 0.5000 0.6236
Ni2 0.3764 0.8764 0.5000
Ni3 0.5000 0.3764 0.8764
Ni4 0.5000 0.6236 0.1236
Ni5 0.6236 0.1236 0.5000
Ni6 0.8764 0.5000 0.3764
```



Record 2
The following is a theoretical X-ray diffraction stick pattern of Pr4AsBrO8. It was derived from a DFT-relaxed cell (GGA-PBE, Alexandria), using CuKα.

Largest 12 diffraction maxima, by angle, 2θ from 10° to 90°:
d 6.727, 13.16°, I 89; d 4.029, 22.06°, I 70; d 3.074, 29.04°, I 1000; d 2.986, 29.92°, I 419; d 2.242, 40.22°, I 106; d 2.111, 42.83°, I 187; d 1.793, 50.93°, I 239; d 1.740, 52.58°, I 322; d 1.537, 60.20°, I 93; d 1.409, 66.33°, I 105; d 1.172, 82.25°, I 90; d 1.147, 84.43°, I 70

Atomic structure:
```
data_Pr4AsBrO8
_chemical_formula_sum 'Pr16 As4 Br4 O32'
_space_group_name_H-M_alt 'P 1'
_space_group_IT_number 1
_space_group_name_Hall 'P 1'
_cell_length_a 8.4457
_cell_length_b 8.4457
_cell_length_c 13.4543
_cell_angle_alpha 90.00
_cell_angle_beta 90.00
_cell_angle_gamma 90.00
loop_
_atom_site_label
_atom_site_fract_x
_atom_site_fract_y
_atom_site_fract_z
Pr1 0.0133 0.2435 0.1675
Pr2 0.0133 0.2435 0.8325
Pr3 0.2434 0.5164 0.3309
Pr4 0.2434 0.5164 0.6691
Pr5 0.2435 0.9867 0.3325
Pr6 0.2435 0.9867 0.6675
Pr7 0.4836 0.2434 0.1691
Pr8 0.4836 0.2434 0.8309
Pr9 0.5164 0.7566 0.1691
Pr10 0.5164 0.7566 0.8309
Pr11 0.7565 0.0133 0.3325
Pr12 0.7565 0.0133 0.6675
Pr13 0.7566 0.4836 0.3309
Pr14 0.7566 0.4836 0.6691
Pr15 0.9867 0.7565 0.1675
Pr16 0.9867 0.7565 0.8325
As1 0.0451 0.2528 0.5000
As2 0.2528 0.9549 0.0000
As3 0.7472 0.0451 0.0000
As4 0.9549 0.7472 0.5000
Br1 0.2534 0.4381 0.0000
Br2 0.4381 0.7466 0.5000
Br3 0.5619 0.2534 0.5000
Br4 0.7466 0.5619 0.0000
O1 0.0000 0.0000 0.2500
O2 0.0000 0.0000 0.7500
O3 0.0000 0.5000 0.2373
O4 0.0000 0.5000 0.7627
O5 0.0685 0.7472 0.3946
O6 0.0685 0.7472 0.6054
O7 0.0863 0.8339 0.0000
O8 0.1661 0.0863 0.5000
O9 0.1671 0.4183 0.5000
O10 0.2490 0.2557 0.2688
O11 0.2490 0.2557 0.7312
O12 0.2528 0.0685 0.1054
O13 0.2528 0.0685 0.8946
O14 0.2557 0.7510 0.2312
O15 0.2557 0.7510 0.7688
O16 0.4183 0.8329 0.0000
O17 0.5000 0.0000 0.2627
O18 0.5000 0.0000 0.7373
O19 0.5000 0.5000 0.2500
O20 0.5000 0.5000 0.7500
O21 0.5817 0.1671 0.0000
O22 0.7443 0.2490 0.2312
O23 0.7443 0.2490 0.7688
O24 0.7472 0.9315 0.1054
O25 0.7472 0.9315 0.8946
O26 0.7510 0.7443 0.2688
O27 0.7510 0.7443 0.7312
O28 0.8329 0.5817 0.5000
O29 0.8339 0.9137 0.5000
O30 0.9137 0.1661 0.0000
O31 0.9315 0.2528 0.3946
O32 0.9315 0.2528 0.6054
```



Record 3
The following is a theoretical X-ray diffraction stick pattern of HgSb12Pd4. It was derived from a DFT-relaxed cell (GGA-PBE, Alexandria), using CuKα.

Largest 12 diffraction maxima, by angle, 2θ from 10° to 90°:
d 3.390, 26.29°, I 104; d 3.032, 29.46°, I 1000; d 2.563, 35.01°, I 476; d 2.144, 42.14°, I 195; d 1.957, 46.39°, I 337; d 1.881, 48.40°, I 359; d 1.644, 55.91°, I 89; d 1.516, 61.12°, I 87; d 1.414, 66.09°, I 167; d 1.259, 75.51°, I 100; d 1.130, 86.03°, I 140; d 1.115, 87.51°, I 134

Atomic structure:
```
data_HgSb12Pd4
_chemical_formula_sum 'Hg1 Sb12 Pd4'
_space_group_name_H-M_alt 'P 1'
_space_group_IT_number 1
_space_group_name_Hall 'P 1'
_cell_length_a 8.3042
_cell_length_b 8.3042
_cell_length_c 8.3042
_cell_angle_alpha 109.47
_cell_angle_beta 109.47
_cell_angle_gamma 109.47
loop_
_atom_site_label
_atom_site_fract_x
_atom_site_fract_y
_atom_site_fract_z
Hg1 0.0000 0.0000 0.0000
Sb1 0.1546 0.3455 0.5002
Sb2 0.1546 0.6545 0.8091
Sb3 0.1909 0.8454 0.3455
Sb4 0.3455 0.1909 0.8454
Sb5 0.3455 0.5002 0.1546
Sb6 0.5002 0.1546 0.3455
Sb7 0.4998 0.8454 0.6545
Sb8 0.6545 0.4998 0.8454
Sb9 0.6545 0.8091 0.1546
Sb10 0.8091 0.1546 0.6545
Sb11 0.8454 0.3455 0.1909
Sb12 0.8454 0.6545 0.4998
Pd1 0.0000 0.0000 0.5000
Pd2 0.0000 0.5000 0.0000
Pd3 0.5000 0.0000 0.0000
Pd4 0.5000 0.5000 0.5000
```



Record 4
The following is a theoretical X-ray diffraction stick pattern of Hg2SbAu3. It was derived from a DFT-relaxed cell (GGA-PBE, Alexandria), using CuKα.

Largest 12 diffraction maxima, by angle, 2θ from 10° to 90°:
d 2.932, 30.49°, I 1000; d 2.897, 30.87°, I 965; d 2.796, 32.01°, I 864; d 2.087, 43.36°, I 361; d 2.035, 44.52°, I 353; d 2.023, 44.79°, I 680; d 2.012, 45.07°, I 673; d 1.672, 54.90°, I 358; d 1.645, 55.88°, I 363; d 1.298, 72.85°, I 157; d 1.286, 73.67°, I 237; d 1.259, 75.52°, I 150

Atomic structure:
```
data_Hg2SbAu3
_chemical_formula_sum 'Hg4 Sb2 Au6'
_space_group_name_H-M_alt 'P 1'
_space_group_IT_number 1
_space_group_name_Hall 'P 1'
_cell_length_a 7.1306
_cell_length_b 7.1306
_cell_length_c 8.1416
_cell_angle_alpha 105.95
_cell_angle_beta 105.95
_cell_angle_gamma 46.17
loop_
_atom_site_label
_atom_site_fract_x
_atom_site_fract_y
_atom_site_fract_z
Hg1 0.1722 0.1762 0.0883
Hg2 0.1762 0.1722 0.5883
Hg3 0.8238 0.8278 0.4117
Hg4 0.8278 0.8238 0.9117
Sb1 0.4995 0.5005 0.2500
Sb2 0.5005 0.4995 0.7500
Au1 0.9995 0.0005 0.2500
Au2 0.0005 0.9995 0.7500
Au3 0.3397 0.3437 0.4225
Au4 0.3437 0.3397 0.9225
Au5 0.6563 0.6603 0.0775
Au6 0.6603 0.6563 0.5775
```



Record 5
The following is a theoretical X-ray diffraction stick pattern of Np3Ag3AuSe8. It was derived from a DFT-relaxed cell (GGA-PBE, Alexandria), using CuKα.

Largest 12 diffraction maxima, by angle, 2θ from 10° to 90°:
d 6.372, 13.90°, I 283; d 3.562, 25.00°, I 164; d 3.381, 26.36°, I 170; d 2.894, 30.90°, I 1000; d 2.794, 32.03°, I 453; d 2.123, 42.59°, I 216; d 2.031, 44.60°, I 356; d 1.989, 45.60°, I 333; d 1.978, 45.88°, I 169; d 1.690, 54.27°, I 189; d 1.447, 64.39°, I 116; d 1.274, 74.45°, I 94

Atomic structure:
```
data_Np3Ag3AuSe8
_chemical_formula_sum 'Np3 Ag3 Au1 Se8'
_space_group_name_H-M_alt 'P 1'
_space_group_IT_number 1
_space_group_name_Hall 'P 1'
_cell_length_a 7.9794
_cell_length_b 7.9794
_cell_length_c 7.9144
_cell_angle_alpha 118.42
_cell_angle_beta 118.42
_cell_angle_gamma 64.28
loop_
_atom_site_label
_atom_site_fract_x
_atom_site_fract_y
_atom_site_fract_z
Np1 0.0000 0.0000 0.0000
Np2 0.0000 0.5000 0.5000
Np3 0.5000 0.0000 0.5000
Ag1 0.0000 0.5000 0.0000
Ag2 0.5000 0.0000 0.0000
Ag3 0.5000 0.5000 0.5000
Au1 0.5000 0.5000 0.0000
Se1 0.2229 0.7737 0.7384
Se2 0.2263 0.7771 0.2616
Se3 0.2548 0.2548 0.2593
Se4 0.2704 0.2704 0.7671
Se5 0.7296 0.7296 0.2329
Se6 0.7452 0.7452 0.7407
Se7 0.7737 0.2229 0.7384
Se8 0.7771 0.2263 0.2616
```



Record 6
The following is a theoretical X-ray diffraction stick pattern of HoTm3Au2. It was derived from a DFT-relaxed cell (GGA-PBE, Alexandria), using CuKα.

Largest 12 diffraction maxima, by angle, 2θ from 10° to 90°:
d 2.975, 30.04°, I 562; d 2.861, 31.26°, I 256; d 2.755, 32.50°, I 192; d 2.721, 32.91°, I 1000; d 2.524, 35.56°, I 643; d 2.449, 36.69°, I 551; d 2.075, 43.63°, I 174; d 2.060, 43.95°, I 170; d 2.052, 44.13°, I 218; d 1.583, 58.28°, I 149; d 1.529, 60.55°, I 147; d 1.188, 80.89°, I 159

Atomic structure:
```
data_HoTm3Au2
_chemical_formula_sum 'Ho2 Tm6 Au4'
_space_group_name_H-M_alt 'P 1'
_space_group_IT_number 1
_space_group_name_Hall 'P 1'
_cell_length_a 4.8987
_cell_length_b 8.8362
_cell_length_c 7.0497
_cell_angle_alpha 90.00
_cell_angle_beta 90.00
_cell_angle_gamma 90.00
loop_
_atom_site_label
_atom_site_fract_x
_atom_site_fract_y
_atom_site_fract_z
Ho1 0.0000 0.0732 0.0000
Ho2 0.0000 0.9268 0.5000
Tm1 0.0000 0.3298 0.6345
Tm2 0.0000 0.6702 0.1345
Tm3 0.5000 0.1712 0.3372
Tm4 0.5000 0.4274 0.9715
Tm5 0.5000 0.5726 0.4715
Tm6 0.5000 0.8288 0.8372
Au1 0.0000 0.3503 0.2290
Au2 0.0000 0.6497 0.7290
Au3 0.5000 0.1517 0.7430
Au4 0.5000 0.8483 0.2430
```